Calculated powder X-ray diffraction pattern
Compound: Th2AgP2O
Radiation: Cu Ka
Structure: a crystal structure in the Materials Project, relaxed with GGA-PBE
Lines closer than 0.1° are merged.

Most intense lines, 2θ from 5° to 70°, in order of rising 2θ:
2θ/deg  I_rel  (hkl)
6.1  54  0 0 1
18.3  56  0 0 3
26.3  100  1 0 0
32.3  58  1 0 3
36.3  18  1 0 4
37.6  39  1 1 0
42.1  29  1 1 3
46.0  28  1 0 6
53.8  18  1 1 6
61.2  19  2 1 0

Structure:
```
data_Th2AgP2O
_space_group_name_H-M_alt 'P 4/m m m'
_space_group_IT_number 123
_space_group_name_Hall '-P 4 2'
_cell_length_a 3.385
_cell_length_b 3.385
_cell_length_c 14.546
_cell_angle_alpha 90.00
_cell_angle_beta 90.00
_cell_angle_gamma 90.00
loop_
_atom_site_label
_atom_site_type_symbol
_atom_site_fract_x
_atom_site_fract_y
_atom_site_fract_z
_atom_site_occupancy
Th1 Th 0.000 0.000 0.147 1
Ag1 Ag 0.000 0.000 0.500 1
P1 P 0.000 0.000 0.337 1
O1 O 0.000 0.000 0.000 1
```